Mg2CoO4: theoretical X-ray powder pattern (Cu Kα X-rays), based on a cell relaxed with PBE+U.

Peak list (8 most intense, 2θ = 10–80°, low angle first)
two_theta, I_rel
18.27, 11
30.06, 63
35.40, 100
53.37, 23
56.90, 32
62.48, 50
70.87, 9
73.91, 10

Atomic structure:
```
Mg2CoO4
1.0
0.0000 4.2046 4.2046
4.2046 0.0000 4.2046
4.2046 4.2046 0.0000
Mg Co O
4 2 8
Cartesian
0.0000 0.0000 0.0000
2.1023 2.1023 0.0000
2.1023 0.0000 2.1023
0.0000 2.1023 2.1023
3.1534 3.1534 3.1534
5.2557 5.2557 5.2557
6.3136 4.1978 4.1978
2.0955 2.0955 2.0955
4.2113 4.2113 2.0955
4.2113 2.0955 4.2113
4.1978 6.3136 4.1978
4.1978 4.1978 6.3136
6.3136 6.3136 6.3136
2.0955 4.2113 4.2113
```


MgFe6Sb10I6O18: theoretical X-ray powder pattern (Cu Kα X-rays), based on a cell relaxed with PBE+U.

Peak list (8 most intense, 2θ = 10–80°, low angle first)
two_theta, I_rel
20.05, 65
24.10, 37
27.69, 38
27.87, 100
28.66, 45
29.41, 99
34.13, 41
35.32, 48

Atomic structure:
```
MgFe6Sb10I6O18
1.0
8.1128 0.0000 0.0000
2.4835 9.0861 0.0000
1.1374 2.8479 12.1363
Mg Fe Sb I O
1 6 10 6 18
Cartesian
0.0000 0.0000 0.0000
1.9945 4.6867 1.2891
2.3967 4.4671 4.4513
5.3337 6.3631 10.7575
5.1194 3.7174 2.2681
7.4969 5.4421 3.6862
8.3120 5.1363 7.1628
3.1654 3.9833 9.0829
2.8354 1.1876 0.6133
4.4965 6.8764 2.7889
4.8815 6.4866 6.1209
5.6228 3.2727 5.8861
7.9084 8.8080 12.1358
8.6339 5.5695 11.6622
8.0146 2.2434 3.0642
9.7437 7.7013 5.5250
10.2396 7.0969 9.2351
4.4225 9.3065 11.1826
3.5586 1.6296 3.7519
6.1829 3.6132 9.9957
7.4043 8.0027 8.0828
8.8763 8.0657 2.0715
8.8541 2.3843 6.6621
2.5879 7.1489 7.1819
0.9414 1.3410 1.3065
3.3851 7.1501 4.6365
2.7365 3.6271 11.0218
3.8569 5.8959 9.4630
3.5549 5.0671 2.6768
3.1851 3.1315 0.4273
4.0285 4.6155 5.6921
5.8489 6.5690 4.2780
6.0704 5.6672 1.8758
7.0775 6.9745 11.5062
6.4230 4.9631 6.5876
6.4096 3.5997 4.0514
6.8005 2.7931 1.5640
8.4386 5.0456 0.3383
8.9976 5.8442 5.2255
9.0134 4.0222 3.0728
9.5631 5.1733 8.7418
```


Li8Mn5Fe3B8O24: theoretical X-ray powder pattern (Cu Kα X-rays), based on a cell relaxed with PBE+U.

Peak list (8 most intense, 2θ = 10–80°, low angle first)
two_theta, I_rel
20.41, 76
22.12, 33
22.56, 58
33.39, 100
34.05, 32
34.27, 26
34.70, 27
40.80, 53

Atomic structure:
```
Li8Mn5Fe3B8O24
1.0
5.2350 0.0000 0.0000
0.0803 6.0355 0.0000
0.3030 2.2331 16.0738
Li Mn Fe B O
8 5 3 8 24
Cartesian
0.0000 0.0000 0.0000
5.4276 4.1275 8.1049
1.7362 5.7642 3.5461
1.8490 3.8593 11.6168
2.8955 6.2089 12.1124
2.7133 2.0788 4.0225
4.5586 5.9257 15.6003
4.3781 1.7779 7.6324
1.9943 4.7819 14.5175
1.8898 6.6915 6.4517
2.7587 5.2602 9.1993
4.4063 4.6263 2.4330
5.2733 3.1982 5.1881
2.5569 1.1355 1.1712
4.5019 2.7218 10.4943
5.4753 7.3388 13.1587
1.7708 4.0729 1.0308
1.8880 2.1566 9.1162
2.6847 3.7438 6.5940
2.8770 7.9017 14.6050
4.5939 4.2255 13.0910
4.4803 6.1474 5.0504
5.2064 1.6958 2.5254
5.3980 5.8316 10.6196
0.5262 2.2874 8.9427
0.4123 4.1855 0.8001
1.5236 5.7160 10.8315
1.3354 1.5753 2.7189
1.9184 4.6598 7.3351
2.0670 2.7706 15.3982
2.1888 7.1082 13.6849
2.0550 2.9226 5.6615
2.4052 4.8899 1.9637
2.5594 2.9658 10.0319
2.6176 1.2507 8.3316
2.5316 3.1535 0.2935
3.2329 4.3505 12.8712
3.1232 6.2546 4.8145
4.0414 3.6361 6.8348
4.2363 7.7691 14.7882
4.6495 6.7424 11.3901
4.4693 2.5974 3.3085
4.5524 0.8813 1.6023
4.7580 5.0330 9.6810
5.0299 0.9357 5.9826
5.2370 5.0292 14.0201
5.3456 3.3153 12.3206
5.2441 5.2296 4.3097
```